Starting from a cell relaxed with GGA+U, the PXRD pattern of Li3Mn2Si2O8 was calculated for Cu Kα (λ = 1.5418 Å).
Lines closer than 0.1° are merged.

Lattice parameters (Å, degrees): 5.0568 5.4423 6.3608 88.26 89.95 89.39
Space group P1 (No. 1)
Asymmetric unit:
1 Li 0.0000 0.0000 0.0000 [1 per cell]
2 Li 0.0030 0.9976 0.5005 [1 per cell]
3 Li 0.4821 0.6575 0.9946 [1 per cell]
4 Mn 0.5115 0.1470 0.2563 [1 per cell]
5 Mn 0.9837 0.5090 0.7349 [1 per cell]
6 Si 0.4836 0.1721 0.7553 [1 per cell]
7 Si 0.9883 0.4946 0.2396 [1 per cell]
8 O 0.0592 0.6513 0.4462 [1 per cell]
9 O 0.0903 0.6458 0.0254 [1 per cell]
10 O 0.1065 0.2068 0.2480 [1 per cell]
11 O 0.1586 0.1548 0.7485 [1 per cell]
12 O 0.5848 0.4550 0.7676 [1 per cell]
13 O 0.5879 0.0149 0.9722 [1 per cell]
14 O 0.6102 0.0516 0.5410 [1 per cell]
15 O 0.6627 0.4664 0.2227 [1 per cell]

Main lines, by angle (2θ from 10° to 80°):
2θ (°)	d/Å	I_rel	h k l
16.3	5.439	80.9	0 1 0
23.9	3.723	86.0	1 1 0
24.2	3.684	100.0	1 -1 0
28.1	3.179	64.0	0 0 2
32.2	2.782	43.5	0 1 2
32.9	2.720	45.1	0 2 0
33.1	2.709	29.4	0 1 -2
35.5	2.528	74.4	2 0 0
37.7	2.384	26.1	1 -1 2
58.0	1.590	21.6	0 0 4